The following is a computed X-ray diffraction stick pattern of LaCo5. It was derived from a structure optimized by DFT (GGA-PBE), using Cu Kα, 1.54184 Å.

Peak list (12 most intense, 2θ = 10–90°, sorted by position)
| d [Å] | two_theta | I (rel.) |
| --- | --- | --- |
| 2.935 | 30.46 | 45.2 |
| 2.917 | 30.65 | 26.2 |
| 2.514 | 35.72 | 30.6 |
| 2.197 | 41.08 | 41.3 |
| 2.167 | 41.68 | 16.0 |
| 2.141 | 42.21 | 45.7 |
| 2.120 | 42.65 | 100.0 |
| 1.971 | 46.04 | 38.9 |
| 1.551 | 59.60 | 17.5 |
| 1.467 | 63.39 | 21.0 |
| 1.373 | 68.31 | 16.7 |
| 1.257 | 75.66 | 16.3 |

Structural model:
abc: 6.3899 6.3899 6.3899
angles: 103.80 94.58 132.98
Fractional positions:
La  0.4761  0.2261  0.2500
La  0.5239  0.7739  0.7500
Co  0.0000  0.0000  0.5000
Co  0.0000  0.2395  0.2395
Co  0.0000  0.5000  0.0000
Co  0.0000  0.7605  0.7605
Co  0.1164  0.7063  0.4102
Co  0.2039  0.2937  0.9102
Co  0.5000  0.2395  0.7395
Co  0.5000  0.7605  0.2605
Co  0.7961  0.7063  0.0898
Co  0.8836  0.2937  0.5898